For Rb2TbNp2Te6, a DFT-relaxed cell (GGA-PBE, Alexandria) gives the calculated PXRD pattern in this record (Cu Kα (weighted mean of Kα1 and Kα2)).
Intensities are scaled so that the largest is 100.

Structural model:
abc: 7.758 13.443 9.124
angles: 90.00 106.37 90.00
Space group C2/m (No. 12)
Unique sites:
Rb  0.000  0.166  0.000 (multiplicity 4)
Tb  0.000  0.000  0.500 (multiplicity 2)
Np  0.000  0.333  0.500 (multiplicity 4)
Te  0.229  0.500  0.697 (multiplicity 4)
Te  0.233  0.167  0.697 (multiplicity 8)

Largest 6 diffraction maxima, by angle, 2θ from 10° to 90°:
2θ/deg	I (rel.)	hkl
10.10	65	0 0 1
26.69	100	2 0 -2
33.22	25	1 3 2
35.83	34	1 3 -3
40.26	37	0 6 0
65.19	16	5 3 -3

---

For Pm3Pd2Pb3, a DFT-relaxed cell (GGA-PBE, Alexandria) gives the calculated PXRD pattern in this record (Cu Kα (weighted mean of Kα1 and Kα2)).
Intensities are scaled so that the largest is 100.

Structural model:
abc: 8.621 15.992 6.121
angles: 90.00 90.00 90.00
Space group Pnma (No. 62)
Unique sites:
Pm  0.031  0.111  0.126 (multiplicity 8)
Pm  0.171  0.250  0.642 (multiplicity 4)
Pd  0.085  0.616  0.373 (multiplicity 8)
Pb  0.189  0.750  0.636 (multiplicity 4)
Pb  0.198  0.036  0.603 (multiplicity 8)

Largest 6 diffraction maxima, by angle, 2θ from 10° to 90°:
2θ/deg	I (rel.)	hkl
30.48	100	2 4 0
31.01	50	1 0 2
33.91	50	2 4 1
34.48	42	3 0 1
35.38	42	1 3 2
38.49	71	1 4 2

---

For Ba2Cd2Pb, a DFT-relaxed cell (GGA-PBE, Alexandria) gives the calculated PXRD pattern in this record (Cu Kα (weighted mean of Kα1 and Kα2)).
Intensities are scaled so that the largest is 100.

Structural model:
abc: 12.484 5.186 12.940
angles: 90.00 116.84 90.00
Space group C2/m (No. 12)
Unique sites:
Ba  0.023  0.000  0.344 (multiplicity 4)
Ba  0.198  0.000  0.116 (multiplicity 4)
Cd  0.016  0.500  0.893 (multiplicity 4)
Cd  0.137  0.500  0.553 (multiplicity 4)
Pb  0.222  0.500  0.340 (multiplicity 4)

Largest 6 diffraction maxima, by angle, 2θ from 10° to 90°:
2θ/deg	I (rel.)	hkl
26.64	71	1 1 2
27.00	56	1 1 -3
27.87	55	3 1 -2
33.13	50	4 0 -4
33.32	100	3 1 1
34.60	75	0 2 0

---

For Ac3Si2Rh5, a DFT-relaxed cell (GGA-PBE, Alexandria) gives the calculated PXRD pattern in this record (Cu Kα (weighted mean of Kα1 and Kα2)).
Intensities are scaled so that the largest is 100.

Structural model:
abc: 10.713 10.713 3.649
angles: 90.00 90.00 90.00
Space group P4/mbm (No. 127)
Unique sites:
Ac  0.000  0.000  0.000 (multiplicity 2)
Ac  0.176  0.324  0.000 (multiplicity 4)
Si  0.117  0.617  0.000 (multiplicity 4)
Rh  0.000  0.500  0.500 (multiplicity 2)
Rh  0.070  0.761  0.500 (multiplicity 8)

Largest 6 diffraction maxima, by angle, 2θ from 10° to 90°:
2θ/deg	I (rel.)	hkl
30.80	82	2 1 1
34.12	51	2 2 1
34.52	64	4 1 0
36.18	100	3 1 1
37.55	42	4 2 0
57.46	31	6 0 1

---

For TbNd12Dy3, a DFT-relaxed cell (GGA-PBE, Alexandria) gives the calculated PXRD pattern in this record (Cu Kα (weighted mean of Kα1 and Kα2)).
Intensities are scaled so that the largest is 100.

Structural model:
abc: 5.160 5.160 20.578
angles: 90.00 90.00 90.00
Space group P4/mmm (No. 123)
Unique sites:
Tb  0.000  0.000  0.000 (multiplicity 1)
Nd  0.000  0.500  0.125 (multiplicity 4)
Nd  0.000  0.500  0.375 (multiplicity 4)
Nd  0.500  0.500  0.000 (multiplicity 1)
Nd  0.500  0.500  0.250 (multiplicity 2)
Nd  0.500  0.500  0.500 (multiplicity 1)
Dy  0.000  0.000  0.250 (multiplicity 2)
Dy  0.000  0.000  0.500 (multiplicity 1)

Largest 6 diffraction maxima, by angle, 2θ from 10° to 90°:
2θ/deg	I (rel.)	hkl
30.03	100	1 1 4
34.77	34	2 0 0
34.88	17	0 0 8
50.05	36	2 2 0
59.42	29	3 1 4
59.57	14	1 1 12

---

For MnBeNb, a DFT-relaxed cell (GGA-PBE, Alexandria) gives the calculated PXRD pattern in this record (Cu Kα (weighted mean of Kα1 and Kα2)).
Intensities are scaled so that the largest is 100.

Structural model:
abc: 4.664 4.770 6.658
angles: 90.00 90.00 90.00
Space group Imma (No. 74)
Unique sites:
Mn  0.250  0.250  0.250 (multiplicity 4)
Be  0.000  0.000  0.000 (multiplicity 4)
Nb  0.000  0.250  0.625 (multiplicity 4)

Largest 6 diffraction maxima, by angle, 2θ from 10° to 90°:
2θ/deg	I (rel.)	hkl
23.29	75	1 0 1
37.72	60	0 2 0
38.20	100	1 1 2
44.80	37	1 2 1
45.06	51	0 1 3
45.39	100	2 1 1